Entry 1:
Theoretical powder diffractogram of LiZr4N4Cl4 for Cu Kα (λ = 1.5418 Å), from a crystal structure in Alexandria, relaxed with PBE.

Cell and atoms:
```
data_LiZr4N4Cl4
_symmetry_space_group_name_H-M 'R -3 m'
_symmetry_Int_Tables_number 166
_symmetry_space_group_name_Hall '-R 3 2"'
_cell_length_a 3.6904
_cell_length_b 3.6904
_cell_length_c 58.9149
_cell_angle_alpha 90.00
_cell_angle_beta 90.00
_cell_angle_gamma 120.00
loop_
_atom_site_label
_atom_site_type_symbol
_atom_site_fract_x
_atom_site_fract_y
_atom_site_fract_z
Li1 Li 0.0000 0.0000 0.0000
Zr1 Zr 0.0000 0.0000 0.1051
Zr2 Zr 0.0000 0.0000 0.3964
N1 N 0.0000 0.0000 0.0669
N2 N 0.0000 0.0000 0.4318
Cl1 Cl 0.0000 0.0000 0.1977
Cl2 Cl 0.0000 0.0000 0.3086
```

The 10 most intense peaks (2θ = 10–80°), in order of rising 2θ:
h k l, 2θ (°), d (Å), I (rel.)
1 0 4, 28.58, 3.123, 54
1 0 10, 31.86, 2.809, 100
0 1 14, 35.26, 2.545, 36
0 0 24, 36.61, 2.455, 22
0 1 20, 41.70, 2.166, 32
1 1 0, 49.39, 1.845, 40
1 1 6, 50.32, 1.813, 13
0 2 10, 59.98, 1.542, 15
1 0 34, 60.81, 1.523, 13
1 1 24, 63.02, 1.475, 24


Entry 2:
Theoretical powder diffractogram of NaLi3Cl4 for Cu Kα (λ = 1.5418 Å), from a crystal structure in Alexandria, relaxed with PBE.

Cell and atoms:
```
data_NaLi3Cl4
_symmetry_space_group_name_H-M 'P m n 21'
_symmetry_Int_Tables_number 31
_cell_length_a 8.1869
_cell_length_b 7.0630
_cell_length_c 6.4033
_cell_angle_alpha 90.00
_cell_angle_beta 90.00
_cell_angle_gamma 90.00
loop_
_symmetry_equiv_pos_as_xyz
'x,y,z'
'-x+1/2,-y,z+1/2'
'-x,y,z'
'x+1/2,-y,z+1/2'
loop_
_atom_site_label
_atom_site_type_symbol
_atom_site_fract_x
_atom_site_fract_y
_atom_site_fract_z
Na1 Na 0.0000 0.1626 0.0000
Li1 Li 0.0000 0.8204 0.4914
Li2 Li 0.2472 0.3369 0.4947
Cl1 Cl 0.0000 0.1565 0.5721
Cl2 Cl 0.0000 0.7985 0.1180
Cl3 Cl 0.2307 0.6542 0.6211
```

The 10 most intense peaks (2θ = 10–80°), in order of rising 2θ:
h k l, 2θ (°), d (Å), I (rel.)
2 1 0, 25.17, 3.538, 63
0 0 2, 27.87, 3.202, 45
2 1 1, 28.83, 3.097, 100
2 1 2, 37.90, 2.374, 25
4 0 0, 44.26, 2.047, 17
2 3 0, 44.39, 2.041, 28
2 1 3, 49.90, 1.828, 34
4 0 2, 53.11, 1.724, 11
2 3 2, 53.23, 1.721, 20
2 1 5, 79.61, 1.204, 7


Entry 3:
Theoretical powder diffractogram of NaLi2PdCl6 for Cu Kα (λ = 1.5418 Å), from a crystal structure in Alexandria, relaxed with PBE.

Cell and atoms:
```
data_NaLi2PdCl6
_symmetry_space_group_name_H-M 'P 1'
_symmetry_Int_Tables_number 1
_cell_length_a 6.4246
_cell_length_b 6.4284
_cell_length_c 6.9435
_cell_angle_alpha 65.83
_cell_angle_beta 62.76
_cell_angle_gamma 62.51
loop_
_symmetry_equiv_pos_as_xyz
'x,y,z'
loop_
_atom_site_label
_atom_site_type_symbol
_atom_site_fract_x
_atom_site_fract_y
_atom_site_fract_z
Na1 Na 0.0000 0.0000 0.0000
Li1 Li 0.2904 0.2693 0.1307
Li2 Li 0.8188 0.8106 0.5830
Pd1 Pd 0.4842 0.4861 0.5481
Cl1 Cl 0.0964 0.4348 0.7884
Cl2 Cl 0.2125 0.8852 0.3220
Cl3 Cl 0.4364 0.6861 0.7908
Cl4 Cl 0.5580 0.2446 0.3249
Cl5 Cl 0.6696 0.0880 0.8163
Cl6 Cl 0.8636 0.5656 0.3258
```

The 10 most intense peaks (2θ = 10–80°), in order of rising 2θ:
h k l, 2θ (°), d (Å), I (rel.)
0 0 1, 14.83, 5.975, 85
0 1 0, 16.06, 5.520, 72
1 0 0, 16.49, 5.376, 70
1 0 1, 18.17, 4.883, 84
1 1 0, 18.75, 4.733, 78
0 1 1, 18.95, 4.683, 82
1 -1 1, 30.01, 2.978, 100
2 1 0, 31.72, 2.821, 71
1 2 2, 32.29, 2.773, 77
0 3 1, 47.93, 1.898, 82


Entry 4:
Theoretical powder diffractogram of NaLiPm2Cl8 for Cu Kα (λ = 1.5418 Å), from a crystal structure in Alexandria, relaxed with PBE.

Cell and atoms:
```
data_NaLiPm2Cl8
_symmetry_space_group_name_H-M 'P 1 2/m 1'
_symmetry_Int_Tables_number 10
_cell_length_a 6.4761
_cell_length_b 8.3381
_cell_length_c 6.5058
_cell_angle_alpha 90.00
_cell_angle_beta 94.52
_cell_angle_gamma 90.00
loop_
_symmetry_equiv_pos_as_xyz
'x,y,z'
'-x,-y,-z'
'-x,y,-z'
'x,-y,z'
loop_
_atom_site_label
_atom_site_type_symbol
_atom_site_fract_x
_atom_site_fract_y
_atom_site_fract_z
Na1 Na 0.0000 0.0000 0.0000
Li1 Li 0.0000 0.5000 0.0000
Pm1 Pm 0.5000 0.2536 0.5000
Cl1 Cl 0.1974 0.2675 0.1934
Cl2 Cl 0.3044 0.5000 0.6904
Cl3 Cl 0.3096 0.0000 0.6851
```

The 10 most intense peaks (2θ = 10–80°), in order of rising 2θ:
h k l, 2θ (°), d (Å), I (rel.)
0 0 1, 13.68, 6.471, 100
1 0 -1, 18.61, 4.767, 47
1 0 1, 20.16, 4.405, 38
1 2 0, 25.42, 3.505, 32
1 2 -1, 28.44, 3.138, 67
1 0 2, 31.84, 2.810, 19
2 2 -1, 37.00, 2.429, 41
2 2 1, 38.67, 2.328, 33
0 2 3, 47.37, 1.919, 19
3 2 0, 47.57, 1.912, 26